Li4Ti3Mn3Sn2O16: simulated X-ray diffraction stick pattern (CuKα), based on a DFT-relaxed cell (PBE+U, Alexandria).
Kinematic intensities with the Lorentz-polarization factor, no thermal factor.

Main lines, in order of rising 2θ (2θ from 10° to 90°):
2theta  Rel. int.
19.2  229
19.4  1000
24.9  158
25.1  166
32.5  239
34.9  218
35.2  448
35.8  180
59.3  197
61.7  200

Cell and atoms:
```
data_Li4Ti3Mn3Sn2O16
_chemical_formula_sum 'Li4 Ti3 Mn3 Sn2 O16'
_cell_length_a 6.0121
_cell_length_b 6.0121
_cell_length_c 9.7990
_cell_angle_alpha 90.53
_cell_angle_beta 90.53
_cell_angle_gamma 59.56
_symmetry_space_group_name_H-M 'P 1'
_symmetry_Int_Tables_number 1
_symmetry_space_group_name_Hall 'P 1'
loop_
_atom_site_label
_atom_site_type_symbol
_atom_site_fract_x
_atom_site_fract_y
_atom_site_fract_z
_atom_site_occupancy
Li1 Li 0.0000 0.0000 0.0000 1
Li2 Li 0.0016 0.0016 0.5035 1
Li3 Li 0.3382 0.3382 0.5996 1
Li4 Li 0.6735 0.6735 0.0932 1
Ti1 Ti 0.1695 0.6607 0.2791 1
Ti2 Ti 0.6607 0.1695 0.2791 1
Ti3 Ti 0.8306 0.8306 0.7753 1
Mn1 Mn 0.1709 0.1709 0.2802 1
Mn2 Mn 0.3425 0.8333 0.7826 1
Mn3 Mn 0.8333 0.3425 0.7826 1
Sn1 Sn 0.3359 0.3359 0.9990 1
Sn2 Sn 0.6610 0.6610 0.5063 1
O1 O 0.0005 0.0005 0.6896 1
O2 O 0.0413 0.5054 0.1480 1
O3 O 0.1600 0.1600 0.8959 1
O4 O 0.1626 0.6795 0.8898 1
O5 O 0.3212 0.8228 0.3989 1
O6 O 0.3485 0.3485 0.3900 1
O7 O 0.4873 0.4873 0.1612 1
O8 O 0.5054 0.0413 0.1480 1
O9 O 0.5214 0.5214 0.6651 1
O10 O 0.5218 0.9686 0.6564 1
O11 O 0.6758 0.6758 0.8874 1
O12 O 0.6795 0.1626 0.8898 1
O13 O 0.8228 0.3212 0.3989 1
O14 O 0.8332 0.8332 0.3914 1
O15 O 0.9686 0.5218 0.6564 1
O16 O 0.9905 0.9905 0.1869 1
```